Structure and calculated powder diffractogram of SnSbPd (a structure optimized by DFT (PBE); CuKα).
Kinematic intensities with the Lorentz-polarization factor, no thermal factor.

Principal peaks in the range 2θ = 5–70°, sorted by position:
- 2θ = 22.84°, I 15
- 2θ = 23.92°, I 22
- 2θ = 26.92°, I 9
- 2θ = 27.14°, I 19
- 2θ = 37.38°, I 28
- 2θ = 38.60°, I 100
- 2θ = 40.10°, I 23
- 2θ = 46.66°, I 8
- 2θ = 55.48°, I 8
- 2θ = 55.98°, I 17
- 2θ = 68.24°, I 19
- 2θ = 68.82°, I 9

Structural model:
```
SnSbPd
1.0
0.0000 4.8114 6.6248
4.4971 0.0000 6.6248
4.4971 4.8114 0.0000
Sn Sb Pd
4 4 4
direct
0.0013 0.0013 0.7487
0.2513 0.2513 0.9987
0.7487 0.7487 0.0013
0.9987 0.9987 0.2513
0.2417 0.2417 0.5083
0.4917 0.4917 0.7583
0.5083 0.5083 0.2417
0.7583 0.7583 0.4917
0.1293 0.6207 0.6207
0.3793 0.8707 0.8707
0.6207 0.1293 0.1293
0.8707 0.3793 0.3793
```